No. 1
Diffraction record for Pr3AlNiS7. The powder X-ray diffraction pattern is theoretical, not measured: it uses a PBE-relaxed structure and copper Kα.
Lines closer than 0.1° are merged.

Atomic structure:
Cell lengths 10.034, 10.034, 6.057 Å; angles 90.00, 90.00, 120.00 degrees
Atoms (fractional coordinates):
Pr 0.142 0.372 0.000
Pr 0.231 0.858 0.000
Pr 0.372 0.231 0.500
Pr 0.628 0.769 0.000
Pr 0.769 0.142 0.500
Pr 0.858 0.628 0.500
Al 0.333 0.667 0.423
Al 0.667 0.333 0.923
Ni 0.000 0.000 0.277
Ni 0.000 0.000 0.777
S 0.087 0.226 0.545
S 0.097 0.579 0.277
S 0.139 0.913 0.545
S 0.226 0.139 0.045
S 0.333 0.667 0.790
S 0.421 0.518 0.277
S 0.482 0.903 0.277
S 0.518 0.097 0.777
S 0.579 0.482 0.777
S 0.667 0.333 0.290
S 0.774 0.861 0.545
S 0.861 0.087 0.045
S 0.903 0.421 0.777
S 0.913 0.774 0.045

Principal peaks in the range 2θ from 10° to 90°, low angle first:
| 2θ/deg | I (rel.) |
| --- | --- |
| 17.9 | 42.3 |
| 23.0 | 31.3 |
| 25.2 | 100.0 |
| 27.1 | 39.9 |
| 34.3 | 39.0 |
| 35.8 | 36.5 |
| 36.2 | 47.7 |
| 40.3 | 43.5 |

No. 2
Diffraction record for NaBi3. The powder X-ray diffraction pattern is theoretical, not measured: it uses a PBE-relaxed structure and copper Kα.
Lines closer than 0.1° are merged.

Atomic structure:
Cell lengths 7.014, 7.014, 5.760 Å; angles 90.00, 90.00, 120.00 degrees
Atoms (fractional coordinates):
Na 0.333 0.667 0.250
Na 0.667 0.333 0.750
Bi 0.166 0.332 0.750
Bi 0.166 0.834 0.750
Bi 0.332 0.166 0.250
Bi 0.668 0.834 0.750
Bi 0.834 0.166 0.250
Bi 0.834 0.668 0.250

Principal peaks in the range 2θ from 10° to 90°, low angle first:
| 2θ/deg | I (rel.) |
| --- | --- |
| 21.3 | 23.5 |
| 29.4 | 23.0 |
| 31.1 | 26.7 |
| 33.4 | 100.0 |
| 43.3 | 16.5 |
| 52.2 | 19.3 |
| 56.7 | 22.7 |
| 62.0 | 23.3 |

No. 3
Diffraction record for LiNbZnO4. The powder X-ray diffraction pattern is theoretical, not measured: it uses a PBE-relaxed structure and copper Kα.
Lines closer than 0.1° are merged.

Atomic structure:
Cell lengths 6.172, 6.172, 8.505 Å; angles 90.00, 90.00, 90.00 degrees
Atoms (fractional coordinates):
Li 0.000 0.219 0.000
Li 0.000 0.781 0.500
Li 0.219 0.000 0.250
Li 0.781 0.000 0.750
Nb 0.213 0.500 0.250
Nb 0.500 0.213 0.000
Nb 0.500 0.787 0.500
Nb 0.787 0.500 0.750
Zn 0.259 0.259 0.625
Zn 0.259 0.741 0.875
Zn 0.741 0.259 0.375
Zn 0.741 0.741 0.125
O 0.017 0.263 0.253
O 0.017 0.737 0.247
O 0.263 0.017 0.997
O 0.263 0.983 0.503
O 0.266 0.483 0.016
O 0.266 0.517 0.484
O 0.483 0.266 0.234
O 0.483 0.734 0.266
O 0.517 0.266 0.766
O 0.517 0.734 0.734
O 0.734 0.483 0.984
O 0.734 0.517 0.516
O 0.737 0.017 0.003
O 0.737 0.983 0.497
O 0.983 0.263 0.747
O 0.983 0.737 0.753

Principal peaks in the range 2θ from 10° to 90°, low angle first:
| 2θ/deg | I (rel.) |
| --- | --- |
| 14.4 | 36.0 |
| 22.9 | 55.2 |
| 25.4 | 40.4 |
| 29.3 | 39.6 |
| 34.2 | 100.0 |
| 34.8 | 47.2 |
| 54.7 | 25.4 |
| 60.8 | 40.2 |

No. 4
Diffraction record for Na2CuC3. The powder X-ray diffraction pattern is theoretical, not measured: it uses a PBE-relaxed structure and copper Kα.
Lines closer than 0.1° are merged.

Atomic structure:
Cell lengths 5.947, 5.947, 4.209 Å; angles 90.00, 90.00, 90.00 degrees
Atoms (fractional coordinates):
Na 0.177 0.323 0.000
Na 0.323 0.823 0.000
Na 0.677 0.177 0.000
Na 0.823 0.677 0.000
Cu 0.000 0.000 0.500
Cu 0.500 0.500 0.500
C 0.000 0.500 0.500
C 0.157 0.657 0.500
C 0.343 0.157 0.500
C 0.500 0.000 0.500
C 0.657 0.843 0.500
C 0.843 0.343 0.500

Principal peaks in the range 2θ from 10° to 90°, low angle first:
| 2θ/deg | I (rel.) |
| --- | --- |
| 21.1 | 66.3 |
| 30.0 | 78.6 |
| 37.0 | 100.0 |
| 40.1 | 38.7 |
| 43.0 | 65.4 |
| 48.4 | 62.6 |
| 66.7 | 35.3 |
| 70.8 | 25.8 |

No. 5
Diffraction record for Li3Ta5Cu2O15. The powder X-ray diffraction pattern is theoretical, not measured: it uses a PBE-relaxed structure and copper Kα.
Lines closer than 0.1° are merged.

Atomic structure:
Cell lengths 23.624, 23.624, 23.624 Å; angles 12.70, 12.70, 12.70 degrees
Atoms (fractional coordinates):
Li 0.000 0.000 0.000
Li 0.098 0.098 0.098
Li 0.200 0.200 0.200
Li 0.400 0.400 0.400
Li 0.600 0.600 0.600
Li 0.799 0.799 0.799
Ta 0.044 0.044 0.044
Ta 0.142 0.142 0.142
Ta 0.243 0.243 0.243
Ta 0.343 0.343 0.343
Ta 0.443 0.443 0.443
Ta 0.542 0.542 0.542
Ta 0.644 0.644 0.644
Ta 0.743 0.743 0.743
Ta 0.843 0.843 0.843
Ta 0.943 0.943 0.943
Cu 0.294 0.294 0.294
Cu 0.493 0.493 0.493
Cu 0.694 0.694 0.694
Cu 0.894 0.894 0.894
O 0.013 0.769 0.393
O 0.073 0.300 0.700
O 0.099 0.471 0.703
O 0.099 0.500 0.872
O 0.167 0.799 0.404
O 0.193 0.813 0.567
O 0.214 0.967 0.593
O 0.273 0.499 0.900
O 0.300 0.673 0.900
O 0.300 0.700 0.073
O 0.367 0.993 0.614
O 0.393 0.013 0.769
O 0.404 0.167 0.799
O 0.471 0.703 0.099
O 0.499 0.900 0.273
O 0.500 0.872 0.099
O 0.567 0.193 0.813
O 0.593 0.214 0.967
O 0.614 0.367 0.993
O 0.673 0.900 0.300
O 0.700 0.073 0.300
O 0.703 0.099 0.471
O 0.769 0.393 0.013
O 0.799 0.404 0.167
O 0.813 0.567 0.193
O 0.872 0.099 0.500
O 0.900 0.273 0.499
O 0.900 0.300 0.673
O 0.967 0.593 0.214
O 0.993 0.614 0.367

Principal peaks in the range 2θ from 10° to 90°, low angle first:
| 2θ/deg | I (rel.) |
| --- | --- |
| 23.4 | 100.0 |
| 32.3 | 73.4 |
| 34.3 | 54.1 |
| 47.8 | 31.2 |
| 52.5 | 26.9 |
| 55.3 | 18.2 |
| 60.2 | 26.8 |
| 61.5 | 16.5 |

No. 6
Diffraction record for Nb2FeCo3. The powder X-ray diffraction pattern is theoretical, not measured: it uses a PBE-relaxed structure and copper Kα.
Lines closer than 0.1° are merged.

Atomic structure:
Cell lengths 4.802, 4.802, 7.681 Å; angles 90.00, 90.00, 120.00 degrees
Atoms (fractional coordinates):
Nb 0.333 0.667 0.064
Nb 0.333 0.667 0.436
Nb 0.667 0.333 0.564
Nb 0.667 0.333 0.936
Fe 0.000 0.000 0.000
Fe 0.000 0.000 0.500
Co 0.169 0.339 0.750
Co 0.169 0.831 0.750
Co 0.339 0.169 0.250
Co 0.661 0.831 0.750
Co 0.831 0.169 0.250
Co 0.831 0.661 0.250

Principal peaks in the range 2θ from 10° to 90°, low angle first:
| 2θ/deg | I (rel.) |
| --- | --- |
| 37.5 | 45.5 |
| 41.4 | 85.0 |
| 44.5 | 100.0 |
| 45.2 | 75.3 |
| 70.3 | 31.4 |
| 72.5 | 21.6 |
| 77.2 | 26.9 |
| 79.9 | 23.8 |

No. 7
Diffraction record for Zr3V. The powder X-ray diffraction pattern is theoretical, not measured: it uses a PBE-relaxed structure and copper Kα.
Lines closer than 0.1° are merged.

Atomic structure:
Cell lengths 6.336, 6.336, 4.920 Å; angles 90.00, 90.00, 120.00 degrees
Atoms (fractional coordinates):
Zr 0.173 0.346 0.250
Zr 0.173 0.827 0.250
Zr 0.346 0.173 0.750
Zr 0.654 0.827 0.250
Zr 0.827 0.173 0.750
Zr 0.827 0.654 0.750
V 0.333 0.667 0.750
V 0.667 0.333 0.250

Principal peaks in the range 2θ from 10° to 90°, low angle first:
| 2θ/deg | I (rel.) |
| --- | --- |
| 32.6 | 24.7 |
| 36.5 | 24.3 |
| 37.5 | 100.0 |
| 49.8 | 15.0 |
| 58.2 | 18.8 |
| 66.4 | 17.5 |
| 70.7 | 18.8 |
| 71.4 | 13.6 |